Computed XRD peak list of CaFeSiO5 for Cu Kα (weighted mean of Kα1 and Kα2), from the GGA+U geometry in the Materials Project.

Principal peaks in the range 5° ≤ 2θ ≤ 70°, in order of falling intensity:
2θ 27.7, 3.220 Å, intensity 100, hkl 0 1 -2
2θ 29.6, 3.020 Å, intensity 72, hkl 1 1 0
2θ 33.8, 2.652 Å, intensity 69, hkl 2 -1 0
2θ 17.8, 4.990 Å, intensity 35, hkl 1 0 0
2θ 34.6, 2.594 Å, intensity 24, hkl -1 1 2
2θ 34.7, 2.585 Å, intensity 23, hkl 1 -1 2

Atomic structure:
```
CaFeSiO5
1.0
5.522 0.000 0.000
-1.579 5.294 0.000
-1.699 -2.245 6.384
Ca Fe Si O
2 2 2 10
Direct
0.171 0.332 0.249
0.829 0.668 0.751
0.500 0.000 0.000
0.500 0.000 0.500
0.181 0.318 0.750
0.819 0.682 0.250
0.123 0.746 0.410
0.182 0.110 0.885
0.247 0.620 0.911
0.386 0.317 0.614
0.430 0.070 0.250
0.570 0.930 0.750
0.614 0.683 0.386
0.753 0.380 0.089
0.818 0.890 0.115
0.877 0.254 0.590
```